The following is a theoretical powder diffraction line list of Cs2DyCuF6. It was derived from the PBE geometry in Alexandria, using CuKα.
Intensities are scaled so that the largest is 100.

Structural model:
Unit cell a=8.2324 b=9.8730 c=9.9617 alpha=90.00 beta=90.00 gamma=90.00
Space group Fmmm (No. 69)
Asymmetric unit:
Cs (0.2500, 0.2500, 0.2500) (multiplicity 8)
Dy (0.0000, 0.0000, 0.0000) (multiplicity 4)
Cu (0.0000, 0.0000, 0.5000) (multiplicity 4)
F (0.0000, 0.0000, 0.2180) (multiplicity 8)
F (0.0000, 0.2199, 0.0000) (multiplicity 8)
F (0.2302, 0.0000, 0.5000) (multiplicity 8)

Principal peaks in the range 2θ = 5–70°, low angle first:
(1 1 1), d 5.338, I 27; (0 2 2), d 3.506, I 100; (2 0 2), d 3.173, I 77; (2 2 0), d 3.161, I 76; (0 0 4), d 2.490, I 34; (0 4 0), d 2.468, I 34; (2 2 4), d 1.956, I 37; (2 4 2), d 1.948, I 37; (4 2 2), d 1.775, I 28; (0 4 4), d 1.753, I 22